No. 1
Diffraction record for ZnMoS2. The powder XRD pattern is calculated, not measured: it uses the GGA-PBE geometry in Alexandria and Cu Kα X-rays.
Intensities are scaled so that the largest is 100.

The 10 most intense peaks (2θ = 15–90°), low angle first:
hkl	2theta	I (rel.)
0 0 6	21.27	41
0 1 2	33.52	100
1 0 4	35.80	31
0 1 5	37.44	17
0 0 12	43.32	14
0 1 8	43.93	51
1 0 10	49.30	49
1 1 0	58.41	29
2 0 2	69.06	17
1 1 12	75.44	16

Atomic structure:
```
data_ZnMoS2
_chemical_formula_sum 'Zn3 Mo3 S6'
_cell_length_a 3.1601
_cell_length_b 3.1601
_cell_length_c 25.0621
_cell_angle_alpha 90.00
_cell_angle_beta 90.00
_cell_angle_gamma 120.00
_symmetry_space_group_name_H-M 'R -3 m'
_symmetry_Int_Tables_number 166
_symmetry_space_group_name_Hall '-R 3 2"'
loop_
_atom_site_label
_atom_site_type_symbol
_atom_site_fract_x
_atom_site_fract_y
_atom_site_fract_z
Zn1 Zn 0.0000 0.0000 0.0000
Mo1 Mo 0.0000 0.0000 0.5000
S1 S 0.0000 0.0000 0.1026
```



No. 2
Diffraction record for Sb7Mo3. The powder XRD pattern is calculated, not measured: it uses the GGA-PBE geometry in Alexandria and Cu Kα X-rays.
Intensities are scaled so that the largest is 100.

The 10 most intense peaks (2θ = 15–90°), low angle first:
hkl	2theta	I (rel.)
3 1 0	29.24	35
2 2 2	32.10	46
3 2 1	34.75	45
3 3 0	39.59	100
4 2 2	46.04	19
4 4 0	53.68	15
6 0 0	57.23	20
5 4 1	62.30	15
6 3 3	71.82	38
7 4 1	80.85	18

Atomic structure:
```
data_Sb7Mo3
_chemical_formula_sum 'Sb28 Mo12'
_cell_length_a 9.6585
_cell_length_b 9.6585
_cell_length_c 9.6585
_cell_angle_alpha 90.00
_cell_angle_beta 90.00
_cell_angle_gamma 90.00
_symmetry_space_group_name_H-M 'I m -3 m'
_symmetry_Int_Tables_number 229
_symmetry_space_group_name_Hall '-I 4 2 3'
loop_
_atom_site_label
_atom_site_type_symbol
_atom_site_fract_x
_atom_site_fract_y
_atom_site_fract_z
Sb1 Sb 0.0000 0.2500 0.5000
Sb2 Sb 0.1609 0.1609 0.1609
Mo1 Mo 0.0000 0.0000 0.3421
```